No. 1
Structure and computed PXRD pattern of Ac2Si3Au6 (a structure optimized by DFT (GGA-PBE); Cu Kα (weighted mean of Kα1 and Kα2)).
Peak positions follow from Bragg's law for the DFT cell and can differ from measured ones.

Cell and atoms:
Lattice parameters (Å, degrees): 7.8682 7.8682 4.4824 90.00 90.00 120.00
Element x y z (fractional)
Ac: 0.3333 0.6667 0.0000
Ac: 0.6667 0.3333 0.0000
Si: 0.0000 0.3419 0.5000
Si: 0.3419 0.0000 0.5000
Si: 0.6581 0.6581 0.5000
Au: 0.0000 0.2084 0.0000
Au: 0.0000 0.6658 0.5000
Au: 0.2084 0.0000 0.0000
Au: 0.3342 0.3342 0.5000
Au: 0.6658 0.0000 0.5000
Au: 0.7916 0.7916 0.0000

Largest 6 diffraction maxima, in order of rising 2θ, 10 to 80 degrees two-theta:
30.2°, intensity 100; 34.8°, intensity 28; 39.7°, intensity 25; 40.2°, intensity 22; 40.4°, intensity 38; 66.2°, intensity 31

No. 2
Structure and computed PXRD pattern of Ce2Ge3Ir5 (a structure optimized by DFT (GGA-PBE); Cu Kα (weighted mean of Kα1 and Kα2)).
Peak positions follow from Bragg's law for the DFT cell and can differ from measured ones.

Cell and atoms:
Lattice parameters (Å, degrees): 11.8983 11.8983 6.8548 90.00 90.00 158.64
Element x y z (fractional)
Ce: 0.0238 0.9762 0.5000
Ce: 0.3224 0.6776 0.4609
Ce: 0.6776 0.3224 0.9609
Ce: 0.9762 0.0238 0.0000
Ge: 0.1005 0.8995 0.8490
Ge: 0.2727 0.7273 0.8726
Ge: 0.4428 0.5572 0.6917
Ge: 0.5572 0.4428 0.1917
Ge: 0.7273 0.2727 0.3726
Ge: 0.8995 0.1005 0.3490
Ir: 0.1149 0.8851 0.2266
Ir: 0.1823 0.8177 0.5954
Ir: 0.2331 0.7669 0.2024
Ir: 0.3756 0.6244 0.9847
Ir: 0.4506 0.5494 0.3027
Ir: 0.5494 0.4506 0.8027
Ir: 0.6244 0.3756 0.4847
Ir: 0.7669 0.2331 0.7024
Ir: 0.8177 0.1823 0.0954
Ir: 0.8851 0.1149 0.7266

Largest 6 diffraction maxima, in order of rising 2θ, 10 to 80 degrees two-theta:
34.9°, intensity 28; 35.1°, intensity 77; 36.2°, intensity 100; 40.2°, intensity 31; 40.9°, intensity 63; 42.5°, intensity 30

What did the second record say?
Structure and computed PXRD pattern of Ce2Ge3Ir5 (a structure optimized by DFT (GGA-PBE); Cu Kα (weighted mean of Kα1 and Kα2)).
Peak positions follow from Bragg's law for the DFT cell and can differ from measured ones.

Cell and atoms:
Lattice parameters (Å, degrees): 11.8983 11.8983 6.8548 90.00 90.00 158.64
Element x y z (fractional)
Ce: 0.0238 0.9762 0.5000
Ce: 0.3224 0.6776 0.4609
Ce: 0.6776 0.3224 0.9609
Ce: 0.9762 0.0238 0.0000
Ge: 0.1005 0.8995 0.8490
Ge: 0.2727 0.7273 0.8726
Ge: 0.4428 0.5572 0.6917
Ge: 0.5572 0.4428 0.1917
Ge: 0.7273 0.2727 0.3726
Ge: 0.8995 0.1005 0.3490
Ir: 0.1149 0.8851 0.2266
Ir: 0.1823 0.8177 0.5954
Ir: 0.2331 0.7669 0.2024
Ir: 0.3756 0.6244 0.9847
Ir: 0.4506 0.5494 0.3027
Ir: 0.5494 0.4506 0.8027
Ir: 0.6244 0.3756 0.4847
Ir: 0.7669 0.2331 0.7024
Ir: 0.8177 0.1823 0.0954
Ir: 0.8851 0.1149 0.7266

Largest 6 diffraction maxima, in order of rising 2θ, 10 to 80 degrees two-theta:
34.9°, intensity 28; 35.1°, intensity 77; 36.2°, intensity 100; 40.2°, intensity 31; 40.9°, intensity 63; 42.5°, intensity 30

> Number 1 is which compound?

Ac2Si3Au6

> What is the formula in the second record?

Ce2Ge3Ir5